Record 1
This entry pairs a crystal structure of CeAl22Pd6 with its computed powder diffraction line list. Radiation: Cu Kα (weighted mean of Kα1 and Kα2). Structure: a structure optimized by DFT (PBE).
Neutral-atom scattering factors, no anomalous dispersion.

Structure:
Cell: 8.984 8.984 8.984 Å, 60.00 60.00 60.00°
Element x y z (fractional)
Ce  0.000  0.000  0.000
Al  0.000  0.000  0.356
Al  0.000  0.000  0.644
Al  0.000  0.356  0.000
Al  0.000  0.356  0.644
Al  0.000  0.644  0.000
Al  0.000  0.644  0.356
Al  0.143  0.619  0.619
Al  0.250  0.250  0.250
Al  0.356  0.000  0.000
Al  0.356  0.000  0.644
Al  0.356  0.644  0.000
Al  0.381  0.381  0.381
Al  0.381  0.381  0.857
Al  0.381  0.857  0.381
Al  0.619  0.143  0.619
Al  0.619  0.619  0.143
Al  0.619  0.619  0.619
Al  0.644  0.000  0.000
Al  0.644  0.000  0.356
Al  0.644  0.356  0.000
Al  0.750  0.750  0.750
Al  0.857  0.381  0.381
Pd  0.262  0.262  0.738
Pd  0.262  0.738  0.262
Pd  0.262  0.738  0.738
Pd  0.738  0.262  0.262
Pd  0.738  0.262  0.738
Pd  0.738  0.738  0.262

Main lines, by angle (2θ from 5° to 70°):
13.94 deg, I 60; 23.22 deg, I 21; 24.27 deg, I 49; 28.09 deg, I 62; 31.49 deg, I 16; 36.76 deg, I 49; 40.15 deg, I 100; 42.70 deg, I 34; 47.47 deg, I 48; 51.90 deg, I 16

Record 2
This entry pairs a crystal structure of Na2NdHg5 with its computed powder diffraction line list. Radiation: Cu Kα (weighted mean of Kα1 and Kα2). Structure: a structure optimized by DFT (PBE).
Neutral-atom scattering factors, no anomalous dispersion.

Structure:
Cell: 4.776 4.776 17.889 Å, 90.00 90.00 90.00°
Element x y z (fractional)
Na  0.000  0.000  0.250
Na  0.000  0.000  0.750
Na  0.500  0.500  0.250
Na  0.500  0.500  0.750
Nd  0.000  0.000  0.000
Nd  0.500  0.500  0.500
Hg  0.000  0.000  0.500
Hg  0.000  0.500  0.128
Hg  0.000  0.500  0.372
Hg  0.000  0.500  0.628
Hg  0.000  0.500  0.872
Hg  0.500  0.000  0.128
Hg  0.500  0.000  0.372
Hg  0.500  0.000  0.628
Hg  0.500  0.000  0.872
Hg  0.500  0.500  0.000

Main lines, by angle (2θ from 5° to 70°):
9.89 deg, I 20; 28.25 deg, I 11; 33.24 deg, I 100; 37.67 deg, I 36; 40.34 deg, I 17; 54.33 deg, I 13; 56.37 deg, I 22; 65.20 deg, I 29; 68.84 deg, I 12; 69.80 deg, I 13